Diffraction record for Tb5DySc4. The powder diffraction line list is theoretical, not measured: it uses a crystal structure in Alexandria, relaxed with GGA-PBE and Cu Ka.

Cell and atoms:
```
Tb5DySc4
1.0
8.7621 0.0000 0.0000
0.0000 8.7621 0.0000
0.0000 0.0000 7.7203
Tb Dy Sc
10 2 8
Direct
0.0576 0.0576 0.2005
0.0576 0.4424 0.2005
0.2500 0.7500 0.0000
0.4424 0.0576 0.2005
0.4424 0.4424 0.2005
0.5576 0.5576 0.7995
0.5576 0.9424 0.7995
0.7500 0.2500 0.0000
0.9424 0.5576 0.7995
0.9424 0.9424 0.7995
0.2500 0.2500 0.8768
0.7500 0.7500 0.1232
0.0186 0.7500 0.4138
0.2500 0.5186 0.5862
0.2500 0.9814 0.5862
0.4814 0.7500 0.4138
0.5186 0.2500 0.5862
0.7500 0.0186 0.4138
0.7500 0.4814 0.4138
0.9814 0.2500 0.5862
```

Peak list (10 most intense, 2θ = 10–90°, by angle)
2theta, I/Imax
11.46, 52
25.49, 37
28.82, 34
30.87, 70
31.11, 65
32.56, 49
32.78, 100
38.85, 25
40.66, 20
57.20, 34